# 1
MgGePb2: simulated powder diffraction line list (Cu Ka), based on a cell relaxed with PBE.
Neutral-atom scattering factors, no anomalous dispersion.

Structure:
a b c (Å): 4.839 4.839 4.444
angles (deg): 90.00 90.00 90.00
Atoms (fractional coordinates):
Mg: 0.000 0.000 0.000
Ge: 0.500 0.500 0.000
Pb: 0.000 0.500 0.500
Pb: 0.500 0.000 0.500

Peak list (10 most intense, 10 to 90 degrees two-theta, in order of rising 2θ)
20.0 deg, I 30; 26.0 deg, I 33; 33.0 deg, I 100; 37.2 deg, I 37; 40.6 deg, I 14; 42.5 deg, I 19; 48.9 deg, I 13; 53.6 deg, I 13; 56.2 deg, I 22; 64.4 deg, I 30

***

# 2
Mg3GePd2: simulated powder diffraction line list (Cu Ka), based on a cell relaxed with PBE.
Neutral-atom scattering factors, no anomalous dispersion.

Structure:
a b c (Å): 6.650 6.650 6.650
angles (deg): 67.49 67.49 67.49
Atoms (fractional coordinates):
Mg: 0.067 0.750 0.433
Mg: 0.250 0.567 0.933
Mg: 0.433 0.067 0.750
Mg: 0.567 0.933 0.250
Mg: 0.750 0.433 0.067
Mg: 0.933 0.250 0.567
Ge: 0.000 0.000 0.000
Ge: 0.500 0.500 0.500
Pd: 0.161 0.161 0.161
Pd: 0.339 0.339 0.339
Pd: 0.661 0.661 0.661
Pd: 0.839 0.839 0.839

Peak list (10 most intense, 10 to 90 degrees two-theta, in order of rising 2θ)
24.1 deg, I 100; 35.2 deg, I 8; 42.4 deg, I 46; 43.1 deg, I 69; 49.3 deg, I 14; 56.2 deg, I 13; 62.0 deg, I 23; 67.0 deg, I 11; 78.0 deg, I 23; 89.5 deg, I 9

***

# 3
MgGe2Pd6: simulated powder diffraction line list (Cu Ka), based on a cell relaxed with PBE.
Neutral-atom scattering factors, no anomalous dispersion.

Structure:
a b c (Å): 4.840 4.840 8.052
angles (deg): 111.05 111.05 54.23
Atoms (fractional coordinates):
Mg: 0.000 0.000 0.000
Ge: 0.336 0.336 0.732
Ge: 0.664 0.664 0.268
Pd: 0.029 0.029 0.686
Pd: 0.320 0.320 0.417
Pd: 0.355 0.355 0.066
Pd: 0.645 0.645 0.934
Pd: 0.680 0.680 0.583
Pd: 0.971 0.971 0.314

Peak list (10 most intense, 10 to 90 degrees two-theta, in order of rising 2θ)
39.4 deg, I 74; 39.9 deg, I 100; 40.9 deg, I 54; 44.1 deg, I 19; 46.0 deg, I 19; 51.2 deg, I 16; 63.2 deg, I 14; 67.5 deg, I 14; 73.8 deg, I 16; 76.7 deg, I 14

***

# 4
Mg2GePd3: simulated powder diffraction line list (Cu Ka), based on a cell relaxed with PBE.
Neutral-atom scattering factors, no anomalous dispersion.

Structure:
a b c (Å): 4.465 6.288 7.053
angles (deg): 90.00 105.79 90.00
Atoms (fractional coordinates):
Mg: 0.000 0.000 0.000
Mg: 0.000 0.500 0.000
Mg: 0.328 0.000 0.669
Mg: 0.672 0.000 0.331
Ge: 0.335 0.500 0.689
Ge: 0.665 0.500 0.311
Pd: 0.185 0.269 0.350
Pd: 0.185 0.731 0.350
Pd: 0.500 0.252 0.000
Pd: 0.500 0.748 0.000
Pd: 0.815 0.269 0.650
Pd: 0.815 0.731 0.650

Peak list (10 most intense, 10 to 90 degrees two-theta, in order of rising 2θ)
14.1 deg, I 13; 27.4 deg, I 18; 28.4 deg, I 16; 28.7 deg, I 17; 39.9 deg, I 100; 40.4 deg, I 34; 40.8 deg, I 63; 56.6 deg, I 11; 72.5 deg, I 11; 73.7 deg, I 19